Record 1
Structure and computed powder diffraction line list of LaTb4Pr (a cell relaxed with GGA-PBE; copper Kα).

Largest 10 diffraction maxima, by angle, 2θ from 5° to 70°:
two_theta  I (rel.)
30.25  100
35.07  51
50.36  12
50.48  24
59.86  14
59.98  21
60.04  7
62.79  3
62.92  6
63.01  3

Atomic structure:
Lattice parameters (Å, degrees): 5.1107 6.2623 7.2538 106.84 90.09 114.02
Element x y z (fractional)
La (0.0000, 0.0000, 0.0000)
Tb (0.3308, 0.6621, 0.6652)
Tb (0.3320, 0.6647, 0.1666)
Tb (0.6680, 0.3353, 0.8334)
Tb (0.6692, 0.3379, 0.3348)
Pr (0.0000, 0.0000, 0.5000)

Record 2
Structure and computed powder diffraction line list of Na3LiTl5 (a cell relaxed with GGA-PBE; copper Kα).

Largest 10 diffraction maxima, by angle, 2θ from 5° to 70°:
two_theta  I (rel.)
19.88  93
22.99  47
25.60  84
30.57  81
32.62  97
34.68  45
34.79  100
40.30  76
43.69  77
58.37  45

Atomic structure:
Lattice parameters (Å, degrees): 8.9329 8.9329 3.4794 90.00 90.00 120.00
Element x y z (fractional)
Na (0.0000, 0.6265, 0.0000)
Na (0.3735, 0.3735, 0.0000)
Na (0.6265, 0.0000, 0.0000)
Li (0.0000, 0.0000, 0.0000)
Tl (0.0000, 0.2766, 0.5000)
Tl (0.2766, 0.0000, 0.5000)
Tl (0.3333, 0.6667, 0.5000)
Tl (0.6667, 0.3333, 0.5000)
Tl (0.7234, 0.7234, 0.5000)

Record 3
Structure and computed powder diffraction line list of Mo2Au (a cell relaxed with GGA-PBE; copper Kα).

Largest 10 diffraction maxima, by angle, 2θ from 5° to 70°:
two_theta  I (rel.)
22.33  10
26.83  5
31.42  5
38.63  100
42.58  19
44.43  17
47.59  13
63.23  12
65.75  10
67.14  9

Atomic structure:
Lattice parameters (Å, degrees): 6.1127 6.1127 4.0781 90.00 90.00 139.35
Element x y z (fractional)
Mo (0.0995, 0.9005, 0.7500)
Mo (0.2458, 0.7542, 0.2500)
Mo (0.7542, 0.2458, 0.7500)
Mo (0.9005, 0.0995, 0.2500)
Au (0.4185, 0.5815, 0.7500)
Au (0.5815, 0.4185, 0.2500)